The following is a simulated X-ray powder pattern of MnBeAs2O6. It was derived from a cell relaxed with PBE+U, using CuKα.
Kinematic intensities with the Lorentz-polarization factor, no thermal factor.

Largest 10 diffraction maxima, in order of rising 2θ, 2θ = 5–70°:
Position (°2θ)  intensity
22.5  100.0
23.8  29.1
26.2  10.3
28.6  19.8
29.7  42.4
36.0  9.8
38.4  18.8
40.2  10.1
47.9  13.4
61.0  9.5

abc: 13.841 8.272 4.897
angles: 90.00 103.37 90.00
Space group C2/c (No. 15)
Symmetry-distinct sites (fractional):
Mn (0.000, 0.097, 0.250) [4 per cell]
Be (0.000, 0.209, 0.750) [4 per cell]
As (0.180, 0.369, 0.179) [8 per cell]
O (0.058, 0.277, 0.055) [8 per cell]
O (0.073, 0.078, 0.633) [8 per cell]
O (0.158, 0.431, 0.518) [8 per cell]